Pm5SiSn2: computed PXRD pattern (Cu Kα (λ = 1.5418 Å)), based on a DFT-relaxed cell (PBE, Alexandria).
No peak broadening, texture or thermal motion is included.

Main lines, low angle first (2θ = 10–90°):
d = 3.186 Å, I = 32, hkl 0 2 4; d = 2.952 Å, I = 87, hkl 2 0 0; d = 2.819 Å, I = 49, hkl 0 0 6; d = 2.809 Å, I = 40, hkl 1 1 5; d = 2.794 Å, I = 100, hkl 1 3 1; d = 2.532 Å, I = 98, hkl 1 3 3; d = 2.039 Å, I = 39, hkl 2 0 6; d = 1.838 Å, I = 36, hkl 1 3 7

Cell and atoms:
Unit cell a=5.903 b=9.689 c=16.913 alpha=90.00 beta=90.00 gamma=90.00
Space group Cmcm (No. 63)
Inequivalent atoms, fractional coordinates:
Pm: 0.000 0.086 0.103 (multiplicity 8)
Pm: 0.000 0.250 0.750 (multiplicity 4)
Pm: 0.000 0.414 0.103 (multiplicity 8)
Si: 0.000 0.249 0.250 (multiplicity 4)
Sn: 0.000 0.250 0.566 (multiplicity 8)

NaEuY: computed PXRD pattern (Cu Kα (λ = 1.5418 Å)), based on a DFT-relaxed cell (PBE, Alexandria).
No peak broadening, texture or thermal motion is included.

Main lines, low angle first (2θ = 10–90°):
d = 3.185 Å, I = 17, hkl 1 0 0; d = 3.121 Å, I = 31, hkl 0 0 3; d = 3.015 Å, I = 100, hkl 1 0 1; d = 2.633 Å, I = 74, hkl 0 1 2; d = 1.886 Å, I = 23, hkl 1 0 4; d = 1.839 Å, I = 21, hkl 1 1 0; d = 1.614 Å, I = 17, hkl 0 1 5; d = 1.584 Å, I = 24, hkl 1 1 3

Cell and atoms:
Unit cell a=3.6774 b=3.6774 c=9.3644 alpha=90.00 beta=90.00 gamma=120.00
Space group P3m1 (No. 156)
Inequivalent atoms, fractional coordinates:
Na: 0.0000 0.0000 0.0000 (multiplicity 1)
Eu: 0.6667 0.3333 0.3533 (multiplicity 1)
Y: 0.3333 0.6667 0.6694 (multiplicity 1)

Rb2Zr3TlS8: computed PXRD pattern (Cu Kα (λ = 1.5418 Å)), based on a DFT-relaxed cell (PBE, Alexandria).
No peak broadening, texture or thermal motion is included.

Main lines, low angle first (2θ = 10–90°):
d = 8.223 Å, I = 100, hkl 0 0 3; d = 4.112 Å, I = 23, hkl 0 0 6; d = 3.863 Å, I = 22, hkl 1 1 0; d = 3.315 Å, I = 31, hkl 0 2 1; d = 2.941 Å, I = 68, hkl 0 2 4; d = 2.426 Å, I = 35, hkl 0 2 7; d = 2.267 Å, I = 25, hkl 2 0 8; d = 1.932 Å, I = 32, hkl 2 2 0

Cell and atoms:
Unit cell a=7.7261 b=7.7261 c=24.6698 alpha=90.00 beta=90.00 gamma=120.00
Space group R3m (No. 160, hexagonal axes)
Inequivalent atoms, fractional coordinates:
Rb: 0.0000 0.0000 0.0000 (multiplicity 3)
Rb: 0.0000 0.0000 0.3474 (multiplicity 3)
Zr: 0.1680 0.3360 0.1865 (multiplicity 9)
Tl: 0.0000 0.0000 0.8358 (multiplicity 3)
S: 0.0000 0.0000 0.1294 (multiplicity 3)
S: 0.0000 0.0000 0.5783 (multiplicity 3)
S: 0.0378 0.5189 0.1247 (multiplicity 9)
S: 0.1740 0.3480 0.9080 (multiplicity 9)

CsTcW2: computed PXRD pattern (Cu Kα (λ = 1.5418 Å)), based on a DFT-relaxed cell (PBE, Alexandria).
No peak broadening, texture or thermal motion is included.

Main lines, low angle first (2θ = 10–90°):
d = 5.036 Å, I = 100, hkl 1 0 1; d = 3.853 Å, I = 83, hkl 1 0 3; d = 3.413 Å, I = 82, hkl 1 1 2; d = 2.849 Å, I = 38, hkl 1 0 5; d = 2.518 Å, I = 89, hkl 2 0 2; d = 2.336 Å, I = 44, hkl 2 1 1; d = 1.927 Å, I = 41, hkl 2 0 6; d = 1.706 Å, I = 74, hkl 2 2 4

Cell and atoms:
Unit cell a=5.274 b=5.274 c=16.927 alpha=90.00 beta=90.00 gamma=90.00
Space group I4_1/amd (No. 141, origin choice 2)
Inequivalent atoms, fractional coordinates:
Cs: 0.000 0.250 0.375 (multiplicity 4)
Tc: 0.000 0.250 0.875 (multiplicity 4)
W: 0.000 0.000 0.000 (multiplicity 8)

NaRuO4: computed PXRD pattern (Cu Kα (λ = 1.5418 Å)), based on a DFT-relaxed cell (PBE, Alexandria).
No peak broadening, texture or thermal motion is included.

Main lines, low angle first (2θ = 10–90°):
d = 4.908 Å, I = 47, hkl 1 0 0; d = 4.506 Å, I = 46, hkl 1 0 -2; d = 4.284 Å, I = 70, hkl 1 1 0; d = 4.008 Å, I = 51, hkl 1 1 -2; d = 3.559 Å, I = 88, hkl 1 2 -1; d = 3.399 Å, I = 100, hkl 0 1 2; d = 3.144 Å, I = 43, hkl 1 2 -2; d = 3.043 Å, I = 40, hkl 2 0 -2

Cell and atoms:
Unit cell a=6.109 b=8.776 c=9.179 alpha=90.00 beta=126.55 gamma=90.00
Space group P2_1/c (No. 14)
Inequivalent atoms, fractional coordinates:
Na: 0.127 0.049 0.364 (multiplicity 4)
Ru: 0.379 0.688 0.643 (multiplicity 4)
O: 0.186 0.644 0.081 (multiplicity 4)
O: 0.213 0.561 0.461 (multiplicity 4)
O: 0.297 0.230 0.798 (multiplicity 4)
O: 0.416 0.609 0.832 (multiplicity 4)